Theoretical powder diffractogram
Compound: ErLuSiGeOs
Radiation: copper Kα
Structure: a DFT-relaxed cell (GGA-PBE, OQMD)

Most intense lines, 2θ = 10–90°, in order of falling intensity:
2θ/deg	Rel. int.
33.87	100
37.51	80
41.22	70
34.01	61
43.09	54
27.77	46
40.97	37
66.13	28
38.82	27
35.08	25

Structural model:
Cell lengths 5.6565, 5.6565, 9.9767 Å; angles 115.81, 115.81, 43.57 degrees
Fractional positions:
Er  0.1862  0.1862  0.1168
Er  0.8138  0.8138  0.8832
Lu  0.0045  0.0045  0.6720
Lu  0.9955  0.9955  0.3280
Si  0.3599  0.3599  0.4408
Si  0.6401  0.6401  0.5592
Ge  0.4853  0.4853  0.1257
Ge  0.5147  0.5147  0.8743
Os  0.2650  0.2650  0.6247
Os  0.7350  0.7350  0.3753